Structure and theoretical XRD peak list of LiZn8Ir2 (a structure optimized by DFT (PBE); Cu Kα X-rays).
Kinematic intensities with the Lorentz-polarization factor, no thermal factor.

Most intense lines, 2θ from 5° to 70°, in order of falling intensity:
| d (Å) | 2θ (°) | intensity | (hkl) |
| --- | --- | --- | --- |
| 2.178 | 41.46 | 1000 | 0 4 1 |
| 2.171 | 41.60 | 825 | 3 1 1 |
| 6.229 | 14.22 | 782 | 1 1 0 |
| 2.094 | 43.21 | 453 | 0 0 2 |
| 4.187 | 21.22 | 433 | 0 0 1 |
| 2.076 | 43.59 | 390 | 3 3 0 |

Structure:
```
data_LiZn8Ir2
_symmetry_space_group_name_H-M 'C m m m'
_symmetry_Int_Tables_number 65
_symmetry_space_group_name_Hall '-C 2 2'
_cell_length_a 7.8652
_cell_length_b 10.2014
_cell_length_c 4.1872
_cell_angle_alpha 90.00
_cell_angle_beta 90.00
_cell_angle_gamma 90.00
loop_
_atom_site_label
_atom_site_type_symbol
_atom_site_fract_x
_atom_site_fract_y
_atom_site_fract_z
Li1 Li 0.0000 0.0000 0.0000
Zn1 Zn 0.0000 0.2426 0.0000
Zn2 Zn 0.1670 0.1337 0.5000
Zn3 Zn 0.1701 0.5000 0.0000
Ir1 Ir 0.0000 0.3735 0.5000
```